Record 1
For Ba5SrPt3, a cell relaxed with PBE gives the computed powder X-ray diffraction pattern in this record (Cu Ka).

Crystal structure
```
data_Ba5SrPt3
_cell_length_a 7.4860
_cell_length_b 4.6638
_cell_length_c 22.4734
_cell_angle_alpha 90.00
_cell_angle_beta 90.82
_cell_angle_gamma 90.00
_symmetry_space_group_name_H-M 'P 1 2/m 1'
_symmetry_Int_Tables_number 10
_symmetry_space_group_name_Hall '-P 2y'
loop_
_atom_site_label
_atom_site_fract_x
_atom_site_fract_y
_atom_site_fract_z
Ba1 0.1846 0.0000 0.4031
Ba2 0.2170 0.0000 0.0640
Ba3 0.2801 0.5000 0.8936
Ba4 0.3032 0.5000 0.2356
Ba5 0.3130 0.5000 0.5721
Sr1 0.1988 0.0000 0.7331
Pt1 0.0000 0.5000 0.0000
Pt2 0.0084 0.5000 0.6691
Pt3 0.4904 0.0000 0.8307
Pt4 0.5000 0.0000 0.5000
```

Main lines, by intensity (10° ≤ 2θ ≤ 90°):
41.0°, I 100, (0 1 9); 32.8°, I 85, (2 1 -3); 16.9°, I 80, (1 0 3); 33.1°, I 74, (1 1 6); 16.6°, I 65, (1 0 -3); 25.4°, I 61, (1 1 -3); 25.5°, I 61, (1 1 3); 22.5°, I 43, (1 1 0); 38.6°, I 39, (0 2 0); 33.6°, I 36, (2 0 -6); 34.1°, I 34, (2 0 6); 52.1°, I 30, (2 2 -6)



Record 2
For BaTcPt4, a cell relaxed with PBE gives the computed powder X-ray diffraction pattern in this record (Cu Ka).

Crystal structure
```
data_BaTcPt4
_cell_length_a 7.7883
_cell_length_b 7.7883
_cell_length_c 7.7883
_cell_angle_alpha 90.00
_cell_angle_beta 90.00
_cell_angle_gamma 90.00
_symmetry_space_group_name_H-M 'F -4 3 m'
_symmetry_Int_Tables_number 216
_symmetry_space_group_name_Hall 'F -4 2 3'
loop_
_atom_site_label
_atom_site_fract_x
_atom_site_fract_y
_atom_site_fract_z
Ba1 0.0000 0.0000 0.0000
Tc1 0.2500 0.2500 0.2500
Pt1 0.1243 0.1243 0.6243
```

Main lines, by intensity (10° ≤ 2θ ≤ 90°):
38.3°, I 100, (3 1 1); 40.1°, I 58, (2 2 2); 61.9°, I 33, (5 1 1); 68.1°, I 31, (4 4 0); 19.7°, I 28, (1 1 1); 82.1°, I 23, (6 2 2); 32.5°, I 14, (2 2 0); 46.6°, I 14, (4 0 0); 80.9°, I 12, (5 3 3); 51.1°, I 7, (3 3 1); 71.7°, I 5, (5 3 1); 58.0°, I 5, (4 2 2)